Diffraction record for KMoBr6. The X-ray diffraction stick pattern is computed, not measured: it uses a cell relaxed with GGA-PBE and a wavelength of 1.5418 Å.

The 10 most intense peaks (5° ≤ 2θ ≤ 70°), by angle:
two_theta  d [Å]  I (rel.)
14.55  6.087  100
15.08  5.874  68
15.38  5.762  59
28.97  3.083  43
29.35  3.043  40
29.61  3.017  56
30.45  2.936  37
30.80  2.903  58
31.04  2.881  41
32.38  2.765  43

Atomic structure:
abc: 7.0286 7.0286 11.5440
angles: 92.52 92.52 84.60
Positions (direct):
K 0.0195 0.9805 0.7500
K 0.9805 0.0195 0.2500
Mo 0.0000 0.5000 0.5000
Mo 0.5000 0.0000 0.0000
Br 0.0855 0.5265 0.2911
Br 0.1770 0.1941 0.0047
Br 0.1941 0.1770 0.5047
Br 0.2918 0.6565 0.5665
Br 0.3435 0.7082 0.9335
Br 0.4735 0.9145 0.2089
Br 0.5265 0.0855 0.7911
Br 0.6565 0.2918 0.0665
Br 0.7082 0.3435 0.4335
Br 0.8059 0.8230 0.4953
Br 0.8230 0.8059 0.9953
Br 0.9145 0.4735 0.7089